Starting from DFT lattice parameters and positions (GGA-PBE), the X-ray powder pattern of HoCuSb was simulated for copper Kα.

Structure:
```
data_HoCuSb
_space_group_name_H-M_alt 'P 1'
_space_group_IT_number 1
_cell_length_a 4.3229
_cell_length_b 4.3229
_cell_length_c 4.0857
_cell_angle_alpha 90.00
_cell_angle_beta 90.00
_cell_angle_gamma 120.00
loop_
_space_group_symop_operation_xyz
'x,y,z'
loop_
_atom_site_label
_atom_site_fract_x
_atom_site_fract_y
_atom_site_fract_z
Ho1 0.0000 0.0000 0.0000
Cu1 0.6667 0.3333 0.5481
Sb1 0.3333 0.6667 0.4908
```

The 11 most intense peaks (2θ from 5° to 70°), low angle first:
d [Å], I_rel
4.086, 1
3.744, 10
2.760, 100
2.161, 45
2.043, 12
1.872, 2
1.793, 5
1.702, 24
1.485, 25
1.415, 1
1.380, 2